(1)
Diffraction record for CdPb2N2. The X-ray diffraction stick pattern is simulated, not measured: it uses a GGA-PBE-relaxed structure and Cu Kα (weighted mean of Kα1 and Kα2).
Lines closer than 0.1° are merged.

Principal peaks in the range 5° ≤ 2θ ≤ 70°, in order of rising 2θ:
2θ (°)  intensity  h k l
19.03  22  0 0 2
28.71  27  0 0 3
31.01  100  2 0 1
35.31  74  1 1 2
49.30  28  2 0 4
52.25  27  3 1 0

Crystal structure
Unit cell a=6.064 b=3.502 c=9.327 alpha=90.00 beta=90.07 gamma=90.00
Positions (direct):
Cd  0.000  0.000  0.000
Cd  0.500  0.500  0.000
Pb  0.166  0.500  0.701
Pb  0.334  0.000  0.299
Pb  0.666  0.000  0.701
Pb  0.834  0.500  0.299
N  0.167  0.500  0.161
N  0.333  0.000  0.839
N  0.667  0.000  0.161
N  0.833  0.500  0.839

(2)
Diffraction record for CdPb2N2. The X-ray diffraction stick pattern is simulated, not measured: it uses a GGA-PBE-relaxed structure and Cu Kα (weighted mean of Kα1 and Kα2).
Lines closer than 0.1° are merged.

Principal peaks in the range 5° ≤ 2θ ≤ 70°, in order of rising 2θ:
2θ (°)  intensity  h k l
16.17  40  1 0 2
28.04  50  0 0 4
28.54  74  3 0 2
29.30  100  1 1 2
29.47  41  2 1 0
41.13  33  2 1 4

Crystal structure
Unit cell a=10.772 b=3.667 c=12.730 alpha=90.00 beta=90.00 gamma=90.00
Positions (direct):
Cd  0.206  0.250  0.140
Cd  0.294  0.750  0.640
Cd  0.706  0.250  0.360
Cd  0.794  0.750  0.860
Pb  0.096  0.750  0.382
Pb  0.124  0.750  0.897
Pb  0.376  0.250  0.397
Pb  0.404  0.250  0.882
Pb  0.596  0.750  0.118
Pb  0.624  0.750  0.603
Pb  0.876  0.250  0.103
Pb  0.904  0.250  0.618
N  0.193  0.250  0.302
N  0.218  0.250  0.978
N  0.282  0.750  0.478
N  0.307  0.750  0.802
N  0.693  0.250  0.198
N  0.718  0.250  0.522
N  0.782  0.750  0.022
N  0.807  0.750  0.698